The following is a computed X-ray diffraction stick pattern of Y2ErF11. It was derived from a DFT-relaxed cell (GGA-PBE, Alexandria), using Cu Kα, 1.54184 Å.

Peak list (12 most intense, 10° ≤ 2θ ≤ 90°, in order of rising 2θ)
13.7 deg, intensity 50.3; 21.2 deg, intensity 100.0; 21.9 deg, intensity 17.4; 23.7 deg, intensity 58.0; 24.4 deg, intensity 24.4; 26.7 deg, intensity 21.2; 28.3 deg, intensity 15.6; 43.1 deg, intensity 20.5; 43.6 deg, intensity 23.7; 45.1 deg, intensity 30.0; 47.2 deg, intensity 15.2; 48.8 deg, intensity 17.0

Cell and atoms:
Cell lengths 8.606, 8.606, 8.606 Å; angles 121.79, 107.21, 100.21 degrees
Sites, in units of the cell vectors:
Y  0.190  0.161  0.351
Y  0.310  0.661  0.971
Y  0.690  0.339  0.029
Y  0.810  0.839  0.649
Er  0.250  0.750  0.500
Er  0.750  0.250  0.500
F  0.000  0.000  0.000
F  0.025  0.456  0.770
F  0.060  0.838  0.628
F  0.186  0.956  0.431
F  0.193  0.892  0.085
F  0.210  0.431  0.372
F  0.290  0.662  0.221
F  0.307  0.392  0.699
F  0.314  0.745  0.770
F  0.440  0.069  0.779
F  0.475  0.245  0.431
F  0.500  0.500  0.000
F  0.525  0.755  0.569
F  0.560  0.931  0.221
F  0.686  0.255  0.230
F  0.693  0.608  0.301
F  0.710  0.338  0.779
F  0.790  0.569  0.628
F  0.807  0.108  0.915
F  0.814  0.044  0.569
F  0.940  0.162  0.372
F  0.975  0.544  0.230

The following is a computed X-ray diffraction stick pattern of ErFe3. It was derived from a DFT-relaxed cell (GGA-PBE, Alexandria), using Cu Kα, 1.54184 Å.

Peak list (12 most intense, 10° ≤ 2θ ≤ 90°, in order of rising 2θ)
20.6 deg, intensity 15.6; 33.0 deg, intensity 54.1; 35.5 deg, intensity 58.1; 36.1 deg, intensity 35.8; 41.4 deg, intensity 39.0; 42.2 deg, intensity 100.0; 46.2 deg, intensity 11.3; 62.2 deg, intensity 17.7; 64.1 deg, intensity 13.4; 68.3 deg, intensity 22.7; 69.3 deg, intensity 12.8; 75.1 deg, intensity 20.6

Cell and atoms:
Cell lengths 8.567, 8.567, 8.567 Å; angles 34.35, 34.35, 34.35 degrees
Sites, in units of the cell vectors:
Er  0.000  0.000  0.000
Er  0.142  0.142  0.142
Er  0.858  0.858  0.858
Fe  0.082  0.582  0.582
Fe  0.333  0.333  0.333
Fe  0.418  0.418  0.918
Fe  0.418  0.918  0.418
Fe  0.500  0.500  0.500
Fe  0.582  0.082  0.582
Fe  0.582  0.582  0.082
Fe  0.667  0.667  0.667
Fe  0.918  0.418  0.418

The following is a computed X-ray diffraction stick pattern of ErGa2Fe. It was derived from a DFT-relaxed cell (GGA-PBE, Alexandria), using Cu Kα, 1.54184 Å.

Peak list (12 most intense, 10° ≤ 2θ ≤ 90°, in order of rising 2θ)
23.2 deg, intensity 11.9; 26.4 deg, intensity 19.0; 29.9 deg, intensity 12.9; 35.4 deg, intensity 70.5; 37.0 deg, intensity 100.0; 38.4 deg, intensity 20.8; 38.8 deg, intensity 13.5; 43.5 deg, intensity 35.2; 43.9 deg, intensity 13.9; 44.1 deg, intensity 15.0; 59.4 deg, intensity 11.6; 75.6 deg, intensity 12.3

Cell and atoms:
Cell lengths 6.760, 4.160, 9.996 Å; angles 90.00, 90.00, 90.00 degrees
Sites, in units of the cell vectors:
Er  0.214  0.250  0.161
Er  0.286  0.750  0.661
Er  0.714  0.250  0.339
Er  0.786  0.750  0.839
Ga  0.094  0.250  0.830
Ga  0.231  0.750  0.955
Ga  0.269  0.250  0.455
Ga  0.406  0.750  0.330
Ga  0.594  0.250  0.670
Ga  0.731  0.750  0.545
Ga  0.769  0.250  0.045
Ga  0.906  0.750  0.170
Fe  0.039  0.750  0.419
Fe  0.461  0.250  0.919
Fe  0.539  0.750  0.081
Fe  0.961  0.250  0.581

The following is a computed X-ray diffraction stick pattern of Er4Ga12Fe. It was derived from a DFT-relaxed cell (GGA-PBE, Alexandria), using Cu Kα, 1.54184 Å.

Peak list (12 most intense, 10° ≤ 2θ ≤ 90°, in order of rising 2θ)
20.8 deg, intensity 12.5; 29.6 deg, intensity 25.6; 36.4 deg, intensity 100.0; 42.3 deg, intensity 56.8; 47.6 deg, intensity 8.3; 52.5 deg, intensity 8.3; 61.4 deg, intensity 34.6; 65.6 deg, intensity 4.7; 69.6 deg, intensity 6.6; 73.6 deg, intensity 32.9; 77.4 deg, intensity 10.8; 85.0 deg, intensity 6.5

Cell and atoms:
Cell lengths 7.397, 7.397, 7.397 Å; angles 109.47, 109.47, 109.47 degrees
Sites, in units of the cell vectors:
Er  0.000  0.000  0.500
Er  0.000  0.500  0.000
Er  0.500  0.000  0.000
Er  0.500  0.500  0.500
Ga  0.000  0.284  0.284
Ga  0.000  0.716  0.716
Ga  0.250  0.500  0.750
Ga  0.250  0.750  0.500
Ga  0.284  0.000  0.284
Ga  0.284  0.284  0.000
Ga  0.500  0.250  0.750
Ga  0.500  0.750  0.250
Ga  0.716  0.000  0.716
Ga  0.716  0.716  0.000
Ga  0.750  0.250  0.500
Ga  0.750  0.500  0.250
Fe  0.000  0.000  0.000

The following is a computed X-ray diffraction stick pattern of Er8Ga2Fe. It was derived from a DFT-relaxed cell (GGA-PBE, Alexandria), using Cu Kα, 1.54184 Å.

Peak list (12 most intense, 10° ≤ 2θ ≤ 90°, in order of rising 2θ)
29.2 deg, intensity 22.3; 30.9 deg, intensity 71.0; 31.4 deg, intensity 31.6; 32.4 deg, intensity 31.4; 32.7 deg, intensity 100.0; 35.2 deg, intensity 74.8; 35.9 deg, intensity 55.0; 36.5 deg, intensity 30.6; 56.6 deg, intensity 16.0; 60.5 deg, intensity 17.1; 61.5 deg, intensity 16.4; 68.4 deg, intensity 18.5

Cell and atoms:
Cell lengths 9.069, 9.069, 6.677 Å; angles 110.16, 110.16, 32.67 degrees
Sites, in units of the cell vectors:
Er  0.019  0.019  0.288
Er  0.202  0.202  0.797
Er  0.349  0.349  0.546
Er  0.409  0.409  0.075
Er  0.591  0.591  0.925
Er  0.651  0.651  0.454
Er  0.798  0.798  0.203
Er  0.981  0.981  0.712
Ga  0.178  0.178  0.207
Ga  0.822  0.822  0.793
Fe  0.500  0.500  0.500

The following is a computed X-ray diffraction stick pattern of Er3FeGe3. It was derived from a DFT-relaxed cell (GGA-PBE, Alexandria), using Cu Kα, 1.54184 Å.

Peak list (12 most intense, 10° ≤ 2θ ≤ 90°, in order of rising 2θ)
23.1 deg, intensity 15.5; 27.2 deg, intensity 16.3; 33.3 deg, intensity 100.0; 33.5 deg, intensity 15.9; 33.8 deg, intensity 75.7; 33.9 deg, intensity 39.3; 38.1 deg, intensity 29.3; 41.0 deg, intensity 46.3; 42.1 deg, intensity 30.4; 43.3 deg, intensity 44.6; 56.1 deg, intensity 27.2; 65.7 deg, intensity 19.6

Cell and atoms:
Cell lengths 5.688, 5.688, 13.756 Å; angles 109.02, 109.02, 43.12 degrees
Sites, in units of the cell vectors:
Er  0.027  0.027  0.382
Er  0.099  0.099  0.920
Er  0.245  0.245  0.231
Er  0.755  0.755  0.769
Er  0.901  0.901  0.080
Er  0.973  0.973  0.618
Fe  0.258  0.258  0.592
Fe  0.742  0.742  0.408
Ge  0.359  0.359  0.454
Ge  0.375  0.375  0.925
Ge  0.456  0.456  0.759
Ge  0.544  0.544  0.241
Ge  0.625  0.625  0.075
Ge  0.641  0.641  0.546

The following is a computed X-ray diffraction stick pattern of Er2FeGe3. It was derived from a DFT-relaxed cell (GGA-PBE, Alexandria), using Cu Kα, 1.54184 Å.

Peak list (12 most intense, 10° ≤ 2θ ≤ 90°, in order of rising 2θ)
23.9 deg, intensity 26.2; 33.5 deg, intensity 16.0; 34.1 deg, intensity 79.0; 35.2 deg, intensity 100.0; 35.8 deg, intensity 38.7; 36.4 deg, intensity 21.8; 40.7 deg, intensity 33.7; 41.3 deg, intensity 20.9; 42.8 deg, intensity 38.3; 61.0 deg, intensity 13.0; 67.7 deg, intensity 17.1; 77.5 deg, intensity 14.9

Cell and atoms:
Cell lengths 10.255, 4.230, 6.904 Å; angles 90.00, 130.32, 90.00 degrees
Sites, in units of the cell vectors:
Er  0.000  0.000  0.000
Er  0.115  0.000  0.595
Er  0.500  0.500  0.000
Er  0.615  0.500  0.595
Fe  0.376  0.000  0.549
Fe  0.876  0.500  0.549
Ge  0.159  0.500  0.923
Ge  0.251  0.500  0.421
Ge  0.370  0.000  0.189
Ge  0.659  0.000  0.923
Ge  0.751  0.000  0.421
Ge  0.870  0.500  0.189

The following is a computed X-ray diffraction stick pattern of Er3Fe2Ge3. It was derived from a DFT-relaxed cell (GGA-PBE, Alexandria), using Cu Kα, 1.54184 Å.

Peak list (12 most intense, 10° ≤ 2θ ≤ 90°, in order of rising 2θ)
24.0 deg, intensity 20.3; 33.4 deg, intensity 16.9; 34.0 deg, intensity 20.2; 34.1 deg, intensity 64.2; 35.1 deg, intensity 100.0; 37.0 deg, intensity 25.1; 39.0 deg, intensity 45.6; 39.5 deg, intensity 39.9; 42.8 deg, intensity 21.5; 43.8 deg, intensity 41.1; 60.4 deg, intensity 22.4; 65.9 deg, intensity 16.9

Cell and atoms:
Cell lengths 5.672, 5.672, 13.688 Å; angles 90.00, 90.00, 137.22 degrees
Sites, in units of the cell vectors:
Er  0.081  0.919  0.611
Er  0.081  0.919  0.889
Er  0.360  0.640  0.750
Er  0.640  0.360  0.250
Er  0.919  0.081  0.111
Er  0.919  0.081  0.389
Fe  0.215  0.785  0.083
Fe  0.215  0.785  0.417
Fe  0.785  0.215  0.583
Fe  0.785  0.215  0.917
Ge  0.331  0.669  0.250
Ge  0.378  0.622  0.541
Ge  0.378  0.622  0.959
Ge  0.622  0.378  0.041
Ge  0.622  0.378  0.459
Ge  0.669  0.331  0.750